# Li3P3W2O12
Computed powder XRD pattern, Cu Ka. Input: a crystal structure in the Materials Project, relaxed with PBE+U.
Neutral-atom scattering factors, no anomalous dispersion.

Unit cell a=9.268 b=9.268 c=9.268 alpha=55.94 beta=55.94 gamma=55.94
Sites, in units of the cell vectors:
1 Li 0.161 0.764 0.424
2 Li 0.236 0.576 0.839
3 Li 0.424 0.161 0.764
4 Li 0.576 0.839 0.236
5 Li 0.764 0.424 0.161
6 Li 0.839 0.236 0.576
7 P 0.044 0.458 0.750
8 P 0.250 0.956 0.542
9 P 0.458 0.750 0.044
10 P 0.542 0.250 0.956
11 P 0.750 0.044 0.458
12 P 0.956 0.542 0.250
13 W 0.153 0.153 0.153
14 W 0.356 0.356 0.356
15 W 0.644 0.644 0.644
16 W 0.847 0.847 0.847
17 O 0.002 0.344 0.963
18 O 0.037 0.998 0.656
19 O 0.051 0.647 0.704
20 O 0.100 0.506 0.307
21 O 0.245 0.354 0.638
22 O 0.296 0.949 0.353
23 O 0.307 0.100 0.506
24 O 0.344 0.963 0.002
25 O 0.353 0.296 0.949
26 O 0.354 0.638 0.245
27 O 0.362 0.755 0.646
28 O 0.494 0.693 0.900
29 O 0.506 0.307 0.100
30 O 0.638 0.245 0.354
31 O 0.646 0.362 0.755
32 O 0.647 0.704 0.051
33 O 0.656 0.037 0.998
34 O 0.693 0.900 0.494
35 O 0.704 0.051 0.647
36 O 0.755 0.646 0.362
37 O 0.900 0.494 0.693
38 O 0.949 0.353 0.296
39 O 0.963 0.002 0.344
40 O 0.998 0.656 0.037

Top 12 peaks for 10° ≤ 2θ ≤ 80°, sorted by position:
2θ 13.99, intensity 446
2θ 19.23, intensity 1000
2θ 20.43, intensity 764
2θ 28.20, intensity 484
2θ 30.82, intensity 741
2θ 35.07, intensity 368
2θ 35.78, intensity 337
2θ 46.16, intensity 179
2θ 47.93, intensity 202
2θ 50.53, intensity 266
2θ 55.97, intensity 187
2θ 61.23, intensity 182



# LiPWO5
Computed powder XRD pattern, Cu Ka. Input: a crystal structure in the Materials Project, relaxed with PBE+U.
Neutral-atom scattering factors, no anomalous dispersion.

Unit cell a=7.541 b=6.659 c=7.614 alpha=90.00 beta=90.00 gamma=90.00
Sites, in units of the cell vectors:
1 Li 0.000 0.000 0.000
2 Li 0.000 0.500 0.000
3 Li 0.500 0.000 0.500
4 Li 0.500 0.500 0.500
5 P 0.125 0.250 0.370
6 P 0.375 0.750 0.870
7 P 0.625 0.250 0.130
8 P 0.875 0.750 0.630
9 W 0.144 0.750 0.270
10 W 0.356 0.250 0.770
11 W 0.644 0.750 0.230
12 W 0.856 0.250 0.730
13 O 0.048 0.750 0.524
14 O 0.100 0.250 0.825
15 O 0.131 0.065 0.246
16 O 0.131 0.435 0.246
17 O 0.207 0.750 0.991
18 O 0.293 0.250 0.491
19 O 0.369 0.565 0.746
20 O 0.369 0.935 0.746
21 O 0.400 0.750 0.325
22 O 0.452 0.250 0.024
23 O 0.548 0.750 0.976
24 O 0.600 0.250 0.675
25 O 0.631 0.065 0.254
26 O 0.631 0.435 0.254
27 O 0.707 0.750 0.509
28 O 0.793 0.250 0.009
29 O 0.869 0.565 0.754
30 O 0.869 0.935 0.754
31 O 0.900 0.750 0.175
32 O 0.952 0.250 0.476

Top 12 peaks for 10° ≤ 2θ ≤ 80°, sorted by position:
2θ 17.69, intensity 1000
2θ 23.37, intensity 378
2θ 26.38, intensity 779
2θ 26.77, intensity 452
2θ 27.18, intensity 268
2θ 35.83, intensity 142
2θ 36.14, intensity 242
2θ 37.94, intensity 550
2θ 42.42, intensity 186
2θ 42.96, intensity 145
2θ 53.62, intensity 142
2θ 55.84, intensity 151



# LiP4WO12
Computed powder XRD pattern, Cu Ka. Input: a crystal structure in the Materials Project, relaxed with PBE+U.
Neutral-atom scattering factors, no anomalous dispersion.

Unit cell a=7.371 b=7.371 c=10.162 alpha=113.58 beta=113.58 gamma=70.48
Sites, in units of the cell vectors:
1 Li 0.000 0.500 0.000
2 Li 0.500 0.000 0.500
3 P 0.189 0.209 0.701
4 P 0.209 0.189 0.201
5 P 0.221 0.760 0.523
6 P 0.240 0.779 0.977
7 P 0.760 0.221 0.023
8 P 0.779 0.240 0.477
9 P 0.791 0.811 0.799
10 P 0.811 0.791 0.299
11 W 0.443 0.557 0.250
12 W 0.557 0.443 0.750
13 O 0.005 0.277 0.562
14 O 0.031 0.805 0.845
15 O 0.150 0.311 0.848
16 O 0.195 0.969 0.655
17 O 0.212 0.699 0.083
18 O 0.221 0.377 0.181
19 O 0.277 0.005 0.062
20 O 0.301 0.788 0.417
21 O 0.311 0.150 0.348
22 O 0.335 0.593 0.591
23 O 0.377 0.221 0.681
24 O 0.407 0.665 0.909
25 O 0.593 0.335 0.091
26 O 0.623 0.779 0.319
27 O 0.665 0.407 0.409
28 O 0.689 0.850 0.652
29 O 0.699 0.212 0.583
30 O 0.723 0.995 0.938
31 O 0.779 0.623 0.819
32 O 0.788 0.301 0.917
33 O 0.805 0.031 0.345
34 O 0.850 0.689 0.152
35 O 0.969 0.195 0.155
36 O 0.995 0.723 0.438

Top 12 peaks for 10° ≤ 2θ ≤ 80°, sorted by position:
2θ 13.40, intensity 929
2θ 16.89, intensity 642
2θ 20.04, intensity 264
2θ 20.40, intensity 1000
2θ 23.20, intensity 200
2θ 25.70, intensity 843
2θ 27.55, intensity 687
2θ 29.10, intensity 889
2θ 34.17, intensity 250
2θ 38.69, intensity 311
2θ 42.04, intensity 214
2θ 50.70, intensity 200